Record 1
This entry pairs a crystal structure of Tl3H4Cl3O2 with its theoretical X-ray powder pattern. Radiation: Cu Kα X-rays. Structure: a structure optimized by DFT (PBE).
Peak positions follow from Bragg's law for the DFT cell and can differ from measured ones.

Largest 10 diffraction maxima, by angle, 10 to 90 degrees two-theta:
- 16.96°, I 18
- 20.80°, I 74
- 21.10°, I 100
- 22.96°, I 88
- 26.61°, I 34
- 32.31°, I 32
- 35.43°, I 70
- 38.91°, I 43
- 39.40°, I 36
- 42.34°, I 20

Structure:
```
Tl3H4Cl3O2
1.0
-2.7707 10.0480 2.7078
2.7707 -10.0480 2.7078
2.7707 10.0480 -2.7078
Tl H Cl O
3 4 3 2
Cartesian
0.0000 0.0000 0.0000
2.7707 -3.1356 2.1519
2.7707 3.1356 2.1519
2.7707 6.6186 -1.5557
2.7707 -6.7157 2.2795
0.0000 3.4294 1.1520
2.7707 6.7157 2.2795
2.7707 0.0000 1.4541
2.7707 5.6703 0.3846
0.0000 4.3777 3.0924
0.0000 2.7888 0.3998
0.0000 17.3072 0.3998
```

Record 2
This entry pairs a crystal structure of SrZnIn2Cl6 with its theoretical X-ray powder pattern. Radiation: Cu Kα X-rays. Structure: a structure optimized by DFT (PBE).
Peak positions follow from Bragg's law for the DFT cell and can differ from measured ones.

Largest 10 diffraction maxima, by angle, 10 to 90 degrees two-theta:
- 23.33°, I 100
- 24.46°, I 73
- 27.98°, I 41
- 28.92°, I 36
- 34.06°, I 94
- 38.62°, I 19
- 40.99°, I 41
- 41.68°, I 40
- 44.64°, I 18
- 47.70°, I 28

Structure:
```
SrZnIn2Cl6
1.0
7.2868 0.0000 0.0000
3.3046 6.4992 0.0000
3.3129 2.0225 6.1836
Sr Zn In Cl
1 1 2 6
Cartesian
0.0000 0.0000 0.0000
6.9522 4.2608 3.0918
3.8413 2.3593 1.7115
10.0630 6.1624 4.4721
4.9095 5.3248 2.1139
6.9246 5.8980 4.9799
5.4964 2.7039 4.3957
8.4080 5.8177 1.7879
6.9797 2.6237 1.2038
8.9948 3.1968 4.0697
```

Record 3
This entry pairs a crystal structure of Y12Ho7Cd with its theoretical X-ray powder pattern. Radiation: Cu Kα X-rays. Structure: a structure optimized by DFT (PBE).
Peak positions follow from Bragg's law for the DFT cell and can differ from measured ones.

Largest 10 diffraction maxima, by angle, 10 to 90 degrees two-theta:
- 30.45°, I 61
- 31.45°, I 72
- 31.70°, I 100
- 32.00°, I 88
- 34.24°, I 33
- 34.47°, I 38
- 36.85°, I 33
- 50.94°, I 29
- 54.74°, I 30
- 57.00°, I 29

Structure:
```
Y12Ho7Cd
1.0
6.7035 3.8702 4.0451
-6.7035 3.8702 4.0451
0.0000 -7.7405 4.0451
Y Ho Cd
12 7 1
Cartesian
-1.7477 -4.7134 4.0451
-4.9558 0.8432 4.0451
0.0000 -2.0307 2.9315
-1.7587 1.0154 2.9315
1.7477 -4.7134 4.0451
-3.2081 3.8702 4.0451
1.7587 1.0154 2.9315
-1.7587 -1.0154 9.2037
4.9558 0.8432 4.0451
3.2081 3.8703 4.0451
1.7587 -1.0154 9.2037
0.0000 2.0307 9.2037
0.0000 0.0000 0.0000
-2.8186 -1.6273 5.5162
0.0000 -3.2547 6.6191
-2.8186 1.6273 6.6191
2.8186 -1.6273 5.5162
0.0000 3.2547 5.5162
2.8186 1.6273 6.6190
0.0000 0.0000 6.0676
```

Record 4
This entry pairs a crystal structure of LiCd2Ag7 with its theoretical X-ray powder pattern. Radiation: Cu Kα X-rays. Structure: a structure optimized by DFT (PBE).
Peak positions follow from Bragg's law for the DFT cell and can differ from measured ones.

Largest 10 diffraction maxima, by angle, 10 to 90 degrees two-theta:
- 37.22°, I 100
- 37.29°, I 50
- 37.69°, I 48
- 42.29°, I 35
- 42.59°, I 34
- 45.29°, I 27
- 61.21°, I 11
- 61.95°, I 11
- 74.09°, I 12
- 74.44°, I 12

Structure:
```
LiCd2Ag7
1.0
4.2744 0.0000 0.0000
2.0792 4.6780 0.0000
0.0018 0.4738 9.0872
Li Cd Ag
1 2 7
Cartesian
0.0000 0.0000 0.0000
2.0917 4.0416 6.3842
2.1030 2.9809 3.5077
2.1115 1.9247 0.8049
2.1293 1.2322 7.2703
4.2147 4.8921 4.4584
4.2249 3.8640 1.6741
4.2444 3.1481 8.1523
4.2525 2.1156 5.4085
4.2587 1.0785 2.6029
```

Record 5
This entry pairs a crystal structure of CaGa2Ni2 with its theoretical X-ray powder pattern. Radiation: Cu Kα X-rays. Structure: a structure optimized by DFT (PBE).
Peak positions follow from Bragg's law for the DFT cell and can differ from measured ones.

Largest 10 diffraction maxima, by angle, 10 to 90 degrees two-theta:
- 16.94°, I 49
- 23.64°, I 36
- 33.97°, I 94
- 35.86°, I 100
- 44.95°, I 93
- 47.13°, I 89
- 49.02°, I 26
- 57.52°, I 39
- 65.45°, I 28
- 84.50°, I 30

Structure:
```
CaGa2Ni2
1.0
-2.0167 2.0167 5.2343
2.0167 -2.0167 5.2343
2.0167 2.0167 -5.2343
Ca Ga Ni
1 2 2
Cartesian
0.0000 0.0000 0.0000
0.0000 0.0000 3.8993
0.0000 0.0000 6.5693
2.0167 0.0000 2.6172
0.0000 2.0167 2.6172
```

Record 6
This entry pairs a crystal structure of Pr3HgS2 with its theoretical X-ray powder pattern. Radiation: Cu Kα X-rays. Structure: a structure optimized by DFT (PBE).
Peak positions follow from Bragg's law for the DFT cell and can differ from measured ones.

Largest 10 diffraction maxima, by angle, 10 to 90 degrees two-theta:
- 26.05°, I 32
- 28.72°, I 100
- 31.77°, I 14
- 32.34°, I 87
- 34.05°, I 18
- 37.65°, I 38
- 39.64°, I 18
- 48.04°, I 14
- 48.47°, I 13
- 51.68°, I 44

Structure:
```
Pr3HgS2
1.0
2.3893 -6.6682 0.0000
2.3893 6.6682 0.0000
0.0000 0.0000 10.5310
Pr Hg S
6 2 4
Cartesian
2.3893 5.2940 7.8983
2.3893 1.7708 5.8458
2.3893 1.7708 9.9507
2.3893 -1.7708 0.5803
2.3893 -1.7708 4.6852
2.3893 -5.2940 2.6328
2.3893 3.6121 2.6328
2.3893 -3.6121 7.8983
0.0000 0.0000 0.0000
0.0000 0.0000 5.2655
2.3893 0.1375 2.6328
2.3893 -0.1375 7.8983
```

Record 7
This entry pairs a crystal structure of NpCuSe2 with its theoretical X-ray powder pattern. Radiation: Cu Kα X-rays. Structure: a structure optimized by DFT (PBE).
Peak positions follow from Bragg's law for the DFT cell and can differ from measured ones.

Largest 10 diffraction maxima, by angle, 10 to 90 degrees two-theta:
- 13.66°, I 71
- 24.99°, I 22
- 28.16°, I 46
- 28.34°, I 21
- 28.80°, I 100
- 36.81°, I 31
- 37.14°, I 27
- 37.86°, I 50
- 44.02°, I 79
- 48.88°, I 25

Structure:
```
NpCuSe2
1.0
6.4874 0.0000 0.0000
0.0000 4.1192 0.0000
-0.2655 0.0000 7.1163
Np Cu Se
2 2 4
Cartesian
0.0000 0.0000 0.0000
-0.1328 2.0596 3.5581
2.2573 0.0000 2.4474
3.9645 0.0000 4.6689
1.5932 2.0596 1.2403
1.4816 0.0000 4.8060
4.7402 0.0000 2.3102
4.6287 2.0596 5.8760
```

Record 8
This entry pairs a crystal structure of Ca6NdZn2 with its theoretical X-ray powder pattern. Radiation: Cu Kα X-rays. Structure: a structure optimized by DFT (PBE).
Peak positions follow from Bragg's law for the DFT cell and can differ from measured ones.

Largest 10 diffraction maxima, by angle, 10 to 90 degrees two-theta:
- 13.50°, I 44
- 16.43°, I 29
- 29.40°, I 43
- 30.15°, I 21
- 30.50°, I 55
- 31.55°, I 97
- 32.10°, I 100
- 36.81°, I 21
- 48.25°, I 17
- 55.58°, I 17

Structure:
```
Ca6NdZn2
1.0
6.6508 -1.8862 0.0000
6.6508 1.8862 0.0000
-4.6125 0.0000 12.0581
Ca Nd Zn
6 1 2
Cartesian
-0.8510 0.0000 3.7713
3.5786 0.0000 1.4857
2.5058 0.0000 4.9171
6.1832 0.0000 7.1410
5.1104 0.0000 10.5724
9.5400 0.0000 8.2868
0.0000 0.0000 0.0000
0.8196 0.0000 9.7016
7.8693 0.0000 2.3566
```